The following is a theoretical powder diffraction line list of Li2Mg3Pd2. It was derived from a GGA-PBE-relaxed structure, using Cu Kα, 1.54184 Å.
Neutral-atom scattering factors, no anomalous dispersion.

Structural model:
```
data_Li2Mg3Pd2
_chemical_formula_sum 'Li4 Mg6 Pd4'
_cell_length_a 9.6777
_cell_length_b 4.4403
_cell_length_c 5.4276
_cell_angle_alpha 90.00
_cell_angle_beta 97.02
_cell_angle_gamma 90.00
_space_group_name_H-M_alt 'C 1 2/m 1'
_space_group_IT_number 12
loop_
_space_group_symop_operation_xyz
'x,y,z'
'-x,-y,-z'
'-x,y,-z'
'x,-y,z'
'x+1/2,y+1/2,z'
'-x+1/2,-y+1/2,-z'
'-x+1/2,y+1/2,-z'
'x+1/2,-y+1/2,z'
loop_
_atom_site_label
_atom_site_fract_x
_atom_site_fract_y
_atom_site_fract_z
_atom_site_occupancy
Li1 0.1303 0.0000 0.0357 1
Mg1 0.0000 0.0000 0.5000 1
Mg2 0.1910 0.5000 0.3190 1
Pd1 0.0945 0.5000 0.7823 1
```

The 6 most intense peaks (2θ = 10–90°), by angle:
- 22.05 deg, I 100.0
- 23.26 deg, I 39.6
- 26.33 deg, I 33.4
- 39.27 deg, I 70.6
- 40.01 deg, I 56.8
- 40.64 deg, I 33.6